Record 1
Diffraction record for Y4Sc2Fe3N3. The X-ray powder pattern is simulated, not measured: it uses a cell relaxed with GGA-PBE and Cu Ka.
Neutral-atom scattering factors, no anomalous dispersion.

Principal peaks in the range 10° ≤ 2θ ≤ 80°, in order of rising 2θ:
hkl  2theta  d (Å)  intensity
2 0 -4  27.6  3.236  134
1 1 -4  29.3  3.052  143
3 1 0  31.5  2.842  757
3 1 -3  33.4  2.682  190
0 2 3  36.4  2.468  1000
0 0 6  38.4  2.346  254
0 2 4  40.3  2.239  654
6 0 -2  54.8  1.675  299
3 1 -8  55.6  1.654  193
6 2 -5  67.6  1.386  166

Structure:
Cell lengths 10.058, 5.798, 14.480 Å; angles 90.00, 103.52, 90.00 degrees
Space group C2/c (No. 15)
Inequivalent atoms, fractional coordinates:
Y 0.119 0.081 0.106 x8
Y 0.213 0.085 0.394 x8
Sc 0.060 0.414 0.922 x8
Fe 0.000 0.358 0.250 x4
Fe 0.114 0.300 0.750 x8
N 0.081 0.256 0.500 x8
N 0.250 0.250 0.000 x4

Record 2
Diffraction record for GdPSe2S2. The X-ray powder pattern is simulated, not measured: it uses a cell relaxed with GGA-PBE and Cu Ka.
Neutral-atom scattering factors, no anomalous dispersion.

Principal peaks in the range 10° ≤ 2θ ≤ 80°, in order of rising 2θ:
hkl  2theta  d (Å)  intensity
0 0 1  11.3  7.847  1000
0 1 -1  17.8  4.990  425
1 -1 0  20.2  4.387  416
1 1 -1  21.6  4.119  202
1 1 2  28.0  3.189  482
2 0 -1  30.0  2.980  346
1 2 -1  31.2  2.865  200
2 1 -1  31.5  2.838  215
1 0 3  36.4  2.468  249
0 3 -1  42.7  2.117  311

Structure:
Cell lengths 6.632, 6.725, 7.862 Å; angles 87.60, 87.09, 82.13 degrees
Space group P-1 (No. 2)
Inequivalent atoms, fractional coordinates:
Gd 0.209 0.211 0.056 x2
P 0.306 0.755 0.812 x2
Se 0.081 0.023 0.748 x2
Se 0.421 0.274 0.356 x2
S 0.129 0.525 0.798 x2
S 0.382 0.781 0.063 x2

Record 3
Diffraction record for Hf4CoCuN2. The X-ray powder pattern is simulated, not measured: it uses a cell relaxed with GGA-PBE and Cu Ka.
Neutral-atom scattering factors, no anomalous dispersion.

Principal peaks in the range 10° ≤ 2θ ≤ 80°, in order of rising 2θ:
hkl  2theta  d (Å)  intensity
0 0 2  26.5  3.367  264
0 1 1  31.7  2.827  362
2 0 0  32.9  2.720  477
1 1 -1  33.3  2.689  867
2 0 -2  33.6  2.664  813
1 1 1  38.1  2.360  1000
0 1 2  39.4  2.286  323
0 0 3  40.2  2.245  375
1 1 -3  47.6  1.912  243
3 1 -1  55.7  1.650  384

Structure:
Cell lengths 5.875, 3.114, 7.272 Å; angles 90.00, 112.18, 90.00 degrees
Space group Pm (No. 6)
Inequivalent atoms, fractional coordinates:
Hf 0.000 0.000 0.000 x1
Hf 0.026 0.500 0.615 x1
Hf 0.546 0.000 0.619 x1
Hf 0.593 0.500 0.206 x1
Co 0.361 0.000 0.892 x1
Cu 0.198 0.500 0.323 x1
N 0.770 0.000 0.428 x1
N 0.800 0.500 0.792 x1

Record 4
Diffraction record for La2Dy2CBr2Cl3. The X-ray powder pattern is simulated, not measured: it uses a cell relaxed with GGA-PBE and Cu Ka.
Neutral-atom scattering factors, no anomalous dispersion.

Principal peaks in the range 10° ≤ 2θ ≤ 80°, in order of rising 2θ:
hkl  2theta  d (Å)  intensity
0 0 1  10.8  8.184  719
2 0 -1  13.3  6.664  201
4 0 -1  21.3  4.179  262
3 1 1  31.0  2.881  312
6 0 0  31.3  2.861  365
1 1 -2  31.4  2.850  1000
5 1 0  34.8  2.575  272
5 1 2  44.4  2.039  284
7 1 -2  45.4  2.000  242
0 2 0  46.7  1.946  173

Structure:
Cell lengths 17.557, 3.893, 8.371 Å; angles 90.00, 102.15, 90.00 degrees
Space group C2/m (No. 12)
Inequivalent atoms, fractional coordinates:
La 0.005 0.000 0.287 x4
Dy 0.140 0.500 0.574 x4
C 0.000 0.500 0.500 x2
Br 0.172 0.000 0.830 x4
Cl 0.000 0.500 0.000 x2
Cl 0.177 0.000 0.367 x4

Record 5
Diffraction record for AgP5Pd3. The X-ray powder pattern is simulated, not measured: it uses a cell relaxed with GGA-PBE and Cu Ka.
Neutral-atom scattering factors, no anomalous dispersion.

Principal peaks in the range 10° ≤ 2θ ≤ 80°, in order of rising 2θ:
hkl  2theta  d (Å)  intensity
0 0 1  16.1  5.501  429
1 0 1  24.2  3.674  690
0 0 2  32.6  2.751  297
1 1 1  35.5  2.530  546
2 0 0  36.4  2.468  736
2 0 1  40.0  2.251  483
2 0 2  49.6  1.837  1000
2 1 1  51.7  1.767  177
2 2 0  65.5  1.425  261
2 0 4  79.8  1.201  192

Structure:
Cell lengths 5.6987, 5.6987, 5.5010 Å; angles 90.00, 90.00, 120.00 degrees
Space group P6/mmm (No. 191)
Inequivalent atoms, fractional coordinates:
Ag 0.0000 0.0000 0.0000 x1
P 0.0000 0.0000 0.5000 x1
P 0.3333 0.6667 0.1846 x4
Pd 0.0000 0.5000 0.5000 x3

Record 6
Diffraction record for LiHoSeO. The X-ray powder pattern is simulated, not measured: it uses a cell relaxed with GGA-PBE and Cu Ka.
Neutral-atom scattering factors, no anomalous dispersion.

Principal peaks in the range 10° ≤ 2θ ≤ 80°, in order of rising 2θ:
hkl  2theta  d (Å)  intensity
1 0 0  14.4  6.167  1000
1 1 0  18.9  4.696  279
0 2 1  28.7  3.113  246
0 0 2  29.3  3.044  535
1 2 -1  30.8  2.905  830
2 1 -1  32.2  2.782  593
1 2 1  33.6  2.668  366
1 0 2  35.5  2.530  289
2 2 1  43.4  2.083  220
1 2 -3  51.0  1.789  237

Structure:
Cell lengths 6.303, 7.244, 6.222 Å; angles 90.00, 101.93, 90.00 degrees
Space group P2_1/c (No. 14)
Inequivalent atoms, fractional coordinates:
Li 0.115 0.237 0.471 x4
Ho 0.434 0.618 0.763 x4
Se 0.171 0.571 0.316 x4
O 0.397 0.165 0.397 x4